[1]
Structure and theoretical X-ray powder pattern of SrI2 (a crystal structure in the Materials Project, relaxed with PBE; Cu Ka).
Intensities are scaled so that the largest is 100.

Top 10 peaks for 10 to 90 degrees two-theta, by intensity:
2θ = 25.2°, I 100
2θ = 30.9°, I 97
2θ = 24.9°, I 88
2θ = 27.6°, I 71
2θ = 24.3°, I 68
2θ = 26.7°, I 65
2θ = 38.0°, I 64
2θ = 34.3°, I 59
2θ = 27.2°, I 58
2θ = 48.0°, I 55

Crystal structure
Unit cell a=8.0376 b=15.5828 c=8.3208 alpha=90.00 beta=90.00 gamma=90.00
Positions (direct):
Sr 0.2231 0.1109 0.0503
Sr 0.2231 0.3891 0.5503
Sr 0.2769 0.6109 0.0503
Sr 0.2769 0.8891 0.5503
Sr 0.7231 0.1109 0.4497
Sr 0.7231 0.3891 0.9497
Sr 0.7769 0.6109 0.4497
Sr 0.7769 0.8891 0.9497
I 0.0053 0.0319 0.7325
I 0.0053 0.4681 0.2325
I 0.1592 0.7032 0.3918
I 0.1592 0.7968 0.8918
I 0.3408 0.2032 0.3918
I 0.3408 0.2968 0.8918
I 0.4947 0.5319 0.7325
I 0.4947 0.9681 0.2325
I 0.5053 0.0319 0.7675
I 0.5053 0.4681 0.2675
I 0.6592 0.7032 0.1082
I 0.6592 0.7968 0.6082
I 0.8408 0.2032 0.1082
I 0.8408 0.2968 0.6082
I 0.9947 0.5319 0.7675
I 0.9947 0.9681 0.2675

[2]
Structure and theoretical X-ray powder pattern of SrRh2 (a crystal structure in the Materials Project, relaxed with PBE; Cu Ka).
Intensities are scaled so that the largest is 100.

Top 10 peaks for 10 to 90 degrees two-theta, by intensity:
2θ = 38.4°, I 100
2θ = 40.1°, I 46
2θ = 62.0°, I 32
2θ = 68.2°, I 28
2θ = 32.6°, I 22
2θ = 82.2°, I 17
2θ = 19.8°, I 13
2θ = 81.0°, I 11
2θ = 58.1°, I 8
2θ = 46.7°, I 8

Crystal structure
Unit cell a=5.5016 b=5.5016 c=5.5016 alpha=60.00 beta=60.00 gamma=60.00
Positions (direct):
Sr 0.1250 0.1250 0.1250
Sr 0.8750 0.8750 0.8750
Rh 0.0000 0.5000 0.5000
Rh 0.5000 0.0000 0.5000
Rh 0.5000 0.5000 0.0000
Rh 0.5000 0.5000 0.5000

[3]
Structure and theoretical X-ray powder pattern of Mg2PtRh (a crystal structure in the Materials Project, relaxed with PBE; Cu Ka).
Intensities are scaled so that the largest is 100.

Top 10 peaks for 10 to 90 degrees two-theta, by intensity:
2θ = 40.6°, I 100
2θ = 28.4°, I 64
2θ = 73.9°, I 34
2θ = 66.6°, I 24
2θ = 50.3°, I 18
2θ = 58.8°, I 17
2θ = 24.5°, I 14
2θ = 87.9°, I 11
2θ = 48.0°, I 8
2θ = 64.7°, I 3

Crystal structure
Unit cell a=4.4421 b=4.4421 c=4.4421 alpha=60.00 beta=60.00 gamma=60.00
Positions (direct):
Mg 0.2500 0.2500 0.2500
Mg 0.7500 0.7500 0.7500
Pt 0.0000 0.0000 0.0000
Rh 0.5000 0.5000 0.5000

[4]
Structure and theoretical X-ray powder pattern of YScSi2O7 (a crystal structure in the Materials Project, relaxed with PBE; Cu Ka).
Intensities are scaled so that the largest is 100.

Top 10 peaks for 10 to 90 degrees two-theta, by intensity:
2θ = 28.0°, I 100
2θ = 29.8°, I 54
2θ = 27.6°, I 44
2θ = 16.8°, I 34
2θ = 40.2°, I 26
2θ = 33.9°, I 24
2θ = 33.4°, I 23
2θ = 54.4°, I 21
2θ = 19.1°, I 21
2θ = 47.7°, I 18

Crystal structure
Unit cell a=5.5444 b=5.5444 c=4.7422 alpha=97.21 beta=97.21 gamma=104.88
Positions (direct):
Y 0.0000 0.0000 0.0000
Sc 0.6142 0.3858 0.0000
Si 0.0786 0.4805 0.5882
Si 0.5195 0.9214 0.4118
O 0.2392 0.3255 0.7768
O 0.2699 0.7301 0.5000
O 0.4044 0.1024 0.2127
O 0.6745 0.7608 0.2232
O 0.6855 0.0841 0.7177
O 0.8976 0.5956 0.7873
O 0.9159 0.3145 0.2823

[5]
Structure and theoretical X-ray powder pattern of Ca3Ir2N4 (a crystal structure in the Materials Project, relaxed with PBE; Cu Ka).
Intensities are scaled so that the largest is 100.

Top 10 peaks for 10 to 90 degrees two-theta, by intensity:
2θ = 17.4°, I 100
2θ = 18.7°, I 82
2θ = 19.8°, I 79
2θ = 33.4°, I 53
2θ = 35.3°, I 49
2θ = 40.2°, I 46
2θ = 32.0°, I 44
2θ = 42.4°, I 42
2θ = 43.0°, I 35
2θ = 50.1°, I 34

Crystal structure
Unit cell a=6.0548 b=9.3803 c=9.4700 alpha=90.00 beta=90.00 gamma=90.00
Positions (direct):
Ca 0.1274 0.1626 0.0682
Ca 0.1274 0.3374 0.4318
Ca 0.2500 0.0000 0.3877
Ca 0.2500 0.5000 0.1123
Ca 0.3726 0.6626 0.4318
Ca 0.3726 0.8374 0.0682
Ca 0.6274 0.1626 0.9318
Ca 0.6274 0.3374 0.5682
Ca 0.7500 0.0000 0.6123
Ca 0.7500 0.5000 0.8877
Ca 0.8726 0.6626 0.5682
Ca 0.8726 0.8374 0.9318
Ir 0.0624 0.2500 0.7500
Ir 0.2500 0.0000 0.7089
Ir 0.2500 0.5000 0.7911
Ir 0.4376 0.7500 0.7500
Ir 0.5624 0.2500 0.2500
Ir 0.7500 0.0000 0.2911
Ir 0.7500 0.5000 0.2089
Ir 0.9376 0.7500 0.2500
N 0.0091 0.5674 0.3412
N 0.0091 0.9326 0.1588
N 0.0990 0.6382 0.9017
N 0.0990 0.8618 0.5983
N 0.4010 0.1382 0.5983
N 0.4010 0.3618 0.9017
N 0.4909 0.0674 0.1588
N 0.4909 0.4326 0.3412
N 0.5091 0.5674 0.6588
N 0.5091 0.9326 0.8412
N 0.5990 0.6382 0.0983
N 0.5990 0.8618 0.4017
N 0.9010 0.1382 0.4017
N 0.9010 0.3618 0.0983
N 0.9909 0.0674 0.8412
N 0.9909 0.4326 0.6588

[6]
Structure and theoretical X-ray powder pattern of Ca4As7Ir8 (a crystal structure in the Materials Project, relaxed with PBE; Cu Ka).
Intensities are scaled so that the largest is 100.

Top 10 peaks for 10 to 90 degrees two-theta, by intensity:
2θ = 43.9°, I 100
2θ = 20.0°, I 93
2θ = 35.1°, I 66
2θ = 35.6°, I 59
2θ = 33.7°, I 57
2θ = 49.0°, I 55
2θ = 20.6°, I 46
2θ = 45.9°, I 44
2θ = 47.4°, I 44
2θ = 30.1°, I 39

Crystal structure
Unit cell a=13.0785 b=4.1242 c=13.6352 alpha=90.00 beta=98.14 gamma=90.00
Positions (direct):
Ca 0.0146 0.2500 0.2096
Ca 0.2112 0.7500 0.6048
Ca 0.2859 0.7500 0.9327
Ca 0.3989 0.7500 0.2983
Ca 0.6011 0.2500 0.7017
Ca 0.7141 0.2500 0.0673
Ca 0.7888 0.2500 0.3952
Ca 0.9854 0.7500 0.7904
As 0.0310 0.2500 0.6283
As 0.1087 0.2500 0.9341
As 0.1913 0.7500 0.1892
As 0.2440 0.2500 0.4195
As 0.3489 0.2500 0.7790
As 0.4032 0.2500 0.0846
As 0.4399 0.7500 0.6014
As 0.5601 0.2500 0.3986
As 0.5968 0.7500 0.9154
As 0.6511 0.7500 0.2210
As 0.7560 0.7500 0.5805
As 0.8087 0.2500 0.8108
As 0.8913 0.7500 0.0659
As 0.9690 0.7500 0.3717
Ir 0.0551 0.2500 0.4520
Ir 0.0751 0.7500 0.0277
Ir 0.1576 0.7500 0.3608
Ir 0.1654 0.2500 0.7705
Ir 0.2204 0.2500 0.0992
Ir 0.4209 0.2500 0.5019
Ir 0.4467 0.7500 0.7810
Ir 0.4858 0.2500 0.9273
Ir 0.5142 0.7500 0.0727
Ir 0.5533 0.2500 0.2190
Ir 0.5791 0.7500 0.4981
Ir 0.7796 0.7500 0.9008
Ir 0.8346 0.7500 0.2295
Ir 0.8424 0.2500 0.6392
Ir 0.9249 0.2500 0.9723
Ir 0.9449 0.7500 0.5480